1.
Structure and simulated powder diffraction line list of CsK2MoSe4 (a crystal structure in Alexandria, relaxed with GGA-PBE; CuKα).
Intensities are scaled so that the largest is 100.

Structural model:
Unit cell a=7.4674 b=7.4674 c=7.4674 alpha=108.03 beta=108.03 gamma=112.40
Sites, in units of the cell vectors:
Cs  0.0000  0.0000  0.0000
K  0.5000  0.5000  0.0000
K  0.7500  0.2500  0.5000
Mo  0.2500  0.7500  0.5000
Se  0.2587  0.4440  0.5287
Se  0.2700  0.7413  0.1853
Se  0.5560  0.0847  0.8147
Se  0.9153  0.7300  0.4713

Principal peaks in the range 2θ from 10° to 90°, in order of rising 2θ:
2theta, I (rel.)
14.68, 80
25.10, 100
25.81, 89
28.77, 38
39.03, 80
46.27, 27

---

2.
Structure and simulated powder diffraction line list of Cs2K15Na2 (a crystal structure in Alexandria, relaxed with GGA-PBE; CuKα).
Intensities are scaled so that the largest is 100.

Structural model:
Unit cell a=11.4190 b=11.4190 c=11.4190 alpha=81.27 beta=81.27 gamma=81.27
Sites, in units of the cell vectors:
Cs  0.1758  0.1758  0.1758
Cs  0.8242  0.8242  0.8242
K  0.0000  0.5000  0.5000
K  0.1482  0.1482  0.6470
K  0.1482  0.6470  0.1482
K  0.2087  0.5000  0.7913
K  0.2087  0.7913  0.5000
K  0.3530  0.8518  0.8518
K  0.5000  0.0000  0.5000
K  0.5000  0.2087  0.7913
K  0.5000  0.5000  0.0000
K  0.5000  0.7913  0.2087
K  0.6470  0.1482  0.1482
K  0.7913  0.2087  0.5000
K  0.7913  0.5000  0.2087
K  0.8518  0.3530  0.8518
K  0.8518  0.8518  0.3530
Na  0.4130  0.4130  0.4130
Na  0.5870  0.5870  0.5870

Principal peaks in the range 2θ from 10° to 90°, in order of rising 2θ:
2theta, I (rel.)
16.76, 30
20.69, 21
23.64, 20
23.88, 100
24.08, 21
42.12, 19